[1]
Simulated powder XRD pattern
Compound: KNbTe3Rh
Radiation: Cu Kα
Structure: the PBE geometry in Alexandria
Intensities are scaled so that the largest is 100.

Cell lengths 9.128, 3.883, 10.705 Å; angles 90.00, 115.17, 90.00 degrees
Space group P2_1/m (No. 11)
Symmetry-distinct sites (fractional):
K: 0.017 0.250 0.284
Nb: 0.453 0.250 0.174
Te: 0.216 0.750 0.130
Te: 0.321 0.750 0.555
Te: 0.336 0.250 0.874
Rh: 0.463 0.750 0.380

Top 10 peaks for 10 to 90 degrees two-theta, by angle:
2θ = 10.71°, I 100, hkl 1 0 0; 2θ = 26.85°, I 25, hkl 2 0 -3; 2θ = 27.62°, I 11, hkl 0 0 3; 2θ = 30.22°, I 45, hkl 2 1 -1; 2θ = 31.64°, I 17, hkl 2 1 -2; 2θ = 35.57°, I 12, hkl 2 1 -3; 2θ = 40.16°, I 15, hkl 3 1 -3; 2θ = 40.62°, I 10, hkl 4 0 -1; 2θ = 41.39°, I 27, hkl 2 1 2; 2θ = 46.79°, I 15, hkl 0 2 0

[2]
Simulated powder XRD pattern
Compound: Sr2BiPC
Radiation: Cu Kα
Structure: the PBE geometry in Alexandria
Intensities are scaled so that the largest is 100.

Cell lengths 6.334, 6.334, 5.238 Å; angles 90.00, 90.00, 90.00 degrees
Space group P4/mmm (No. 123)
Symmetry-distinct sites (fractional):
Sr: 0.000 0.500 0.000
Bi: 0.000 0.000 0.000
P: 0.000 0.000 0.500
C: 0.500 0.500 0.500

Top 10 peaks for 10 to 90 degrees two-theta, by angle:
2θ = 13.98°, I 100, hkl 1 0 0; 2θ = 16.93°, I 73, hkl 0 0 1; 2θ = 22.02°, I 48, hkl 1 0 1; 2θ = 28.18°, I 70, hkl 2 0 0; 2θ = 31.59°, I 29, hkl 2 1 0; 2θ = 33.05°, I 60, hkl 2 0 1; 2θ = 36.05°, I 28, hkl 2 1 1; 2θ = 40.27°, I 27, hkl 2 2 0; 2θ = 43.97°, I 28, hkl 2 2 1; 2θ = 44.91°, I 39, hkl 2 0 2

[3]
Simulated powder XRD pattern
Compound: PaNb2Si4
Radiation: Cu Kα
Structure: the PBE geometry in Alexandria
Intensities are scaled so that the largest is 100.

Cell lengths 3.632, 3.776, 17.181 Å; angles 90.00, 90.00, 90.00 degrees
Space group Immm (No. 71)
Symmetry-distinct sites (fractional):
Pa: 0.000 0.000 0.000
Nb: 0.000 0.500 0.191
Si: 0.000 0.000 0.427
Si: 0.000 0.500 0.344

Top 10 peaks for 10 to 90 degrees two-theta, by angle:
2θ = 10.30°, I 22, hkl 0 0 2; 2θ = 25.06°, I 30, hkl 1 0 1; 2θ = 28.31°, I 56, hkl 0 1 3; 2θ = 31.24°, I 24, hkl 0 0 6; 2θ = 35.86°, I 100, hkl 1 1 2; 2θ = 35.98°, I 53, hkl 1 0 5; 2θ = 40.35°, I 22, hkl 1 1 4; 2θ = 44.00°, I 29, hkl 0 1 7; 2θ = 55.33°, I 21, hkl 1 1 8; 2θ = 61.59°, I 22, hkl 1 2 5

[4]
Simulated powder XRD pattern
Compound: Sm2Ga3
Radiation: Cu Kα
Structure: the PBE geometry in Alexandria
Intensities are scaled so that the largest is 100.

Cell lengths 4.292, 26.017, 4.220 Å; angles 90.00, 90.00, 90.00 degrees
Space group Cmcm (No. 63)
Symmetry-distinct sites (fractional):
Sm: 0.000 0.072 0.250
Sm: 0.000 0.203 0.750
Ga: 0.000 0.327 0.750
Ga: 0.000 0.382 0.250
Ga: 0.000 0.476 0.250

Top 10 peaks for 10 to 90 degrees two-theta, by angle:
2θ = 25.16°, I 20, hkl 0 4 1; 2θ = 31.47°, I 100, hkl 1 3 1; 2θ = 31.85°, I 57, hkl 1 7 0; 2θ = 34.44°, I 22, hkl 1 5 1; 2θ = 40.74°, I 32, hkl 0 10 1; 2θ = 42.10°, I 26, hkl 2 0 0; 2θ = 42.86°, I 25, hkl 0 0 2; 2θ = 54.38°, I 25, hkl 1 7 2; 2θ = 60.03°, I 20, hkl 2 10 1; 2θ = 61.65°, I 17, hkl 2 0 2

[5]
Simulated powder XRD pattern
Compound: Ac2Zn7Ga
Radiation: Cu Kα
Structure: the PBE geometry in Alexandria
Intensities are scaled so that the largest is 100.

Cell lengths 4.527, 4.527, 10.286 Å; angles 90.00, 90.00, 90.00 degrees
Space group P-4m2 (No. 115)
Symmetry-distinct sites (fractional):
Ac: 0.000 0.500 0.250
Zn: 0.000 0.000 0.000
Zn: 0.000 0.000 0.500
Zn: 0.000 0.500 0.625
Zn: 0.000 0.500 0.870
Zn: 0.500 0.500 0.500
Ga: 0.500 0.500 0.000

Top 10 peaks for 10 to 90 degrees two-theta, by angle:
2θ = 21.45°, I 28, hkl 1 0 1; 2θ = 27.87°, I 27, hkl 1 1 0; 2θ = 32.77°, I 75, hkl 1 0 3; 2θ = 32.96°, I 100, hkl 1 1 2; 2θ = 39.83°, I 57, hkl 2 0 0; 2θ = 48.61°, I 27, hkl 1 0 5; 2θ = 52.49°, I 40, hkl 2 1 3; 2θ = 57.59°, I 19, hkl 2 2 0; 2θ = 64.59°, I 23, hkl 2 1 5; 2θ = 67.98°, I 25, hkl 3 1 2

[6]
Simulated powder XRD pattern
Compound: AcMo2C2
Radiation: Cu Kα
Structure: the PBE geometry in Alexandria
Intensities are scaled so that the largest is 100.

Cell lengths 7.084, 9.334, 9.592 Å; angles 90.00, 90.00, 90.00 degrees
Space group Fddd (No. 70, origin choice 2)
Symmetry-distinct sites (fractional):
Ac: 0.125 0.125 0.125
Mo: 0.125 0.125 0.486
C: 0.125 0.317 0.625

Top 10 peaks for 10 to 90 degrees two-theta, by angle:
2θ = 18.24°, I 15, hkl 1 1 1; 2θ = 26.65°, I 27, hkl 0 2 2; 2θ = 31.40°, I 28, hkl 2 0 2; 2θ = 31.72°, I 100, hkl 2 2 0; 2θ = 32.18°, I 88, hkl 1 1 3; 2θ = 38.58°, I 32, hkl 0 4 0; 2θ = 42.50°, I 46, hkl 1 3 3; 2θ = 48.94°, I 27, hkl 3 1 3; 2θ = 51.61°, I 16, hkl 4 0 0; 2θ = 56.79°, I 19, hkl 3 3 3

[7]
Simulated powder XRD pattern
Compound: Ac2SiGeRh6
Radiation: Cu Kα
Structure: the PBE geometry in Alexandria
Intensities are scaled so that the largest is 100.

Cell lengths 6.534, 6.553, 9.255 Å; angles 90.00, 90.00, 90.00 degrees
Space group Immm (No. 71)
Symmetry-distinct sites (fractional):
Ac: 0.000 0.000 0.250
Si: 0.000 0.500 0.000
Ge: 0.000 0.500 0.500
Rh: 0.000 0.500 0.245
Rh: 0.245 0.255 0.000

Top 10 peaks for 10 to 90 degrees two-theta, by angle:
2θ = 27.26°, I 30, hkl 2 0 0; 2θ = 33.54°, I 100, hkl 2 0 2; 2θ = 38.93°, I 74, hkl 2 2 0; 2θ = 48.17°, I 13, hkl 3 1 2; 2θ = 56.21°, I 42, hkl 2 2 4; 2θ = 56.32°, I 8, hkl 4 0 0; 2θ = 67.06°, I 27, hkl 2 4 2; 2θ = 67.15°, I 13, hkl 4 2 2; 2θ = 70.42°, I 8, hkl 0 4 4; 2θ = 70.58°, I 8, hkl 4 0 4

[8]
Simulated powder XRD pattern
Compound: Ce5AlPb3
Radiation: Cu Kα
Structure: the PBE geometry in Alexandria
Intensities are scaled so that the largest is 100.

Cell lengths 9.6344, 9.6344, 6.5151 Å; angles 90.00, 90.00, 120.00 degrees
Space group P6_3/mcm (No. 193)
Symmetry-distinct sites (fractional):
Ce: 0.0000 0.2732 0.2500
Ce: 0.3333 0.6667 0.0000
Al: 0.0000 0.0000 0.0000
Pb: 0.0000 0.3740 0.7500

Top 10 peaks for 10 to 90 degrees two-theta, by angle:
2θ = 27.38°, I 23, hkl 0 0 2; 2θ = 31.52°, I 68, hkl 2 1 1; 2θ = 32.18°, I 100, hkl 3 0 0; 2θ = 33.20°, I 97, hkl 1 1 2; 2θ = 41.41°, I 22, hkl 3 1 1; 2θ = 46.91°, I 28, hkl 2 2 2; 2θ = 51.06°, I 18, hkl 2 1 3; 2θ = 58.03°, I 17, hkl 4 1 2; 2θ = 60.40°, I 18, hkl 4 2 1; 2θ = 66.53°, I 25, hkl 3 0 4

[9]
Simulated powder XRD pattern
Compound: TbSm2Ho4Sc
Radiation: Cu Kα
Structure: the PBE geometry in Alexandria
Intensities are scaled so that the largest is 100.

Cell lengths 4.988, 4.988, 9.935 Å; angles 90.00, 90.00, 90.00 degrees
Space group P4/mmm (No. 123)
Symmetry-distinct sites (fractional):
Tb: 0.000 0.000 0.000
Sm: 0.000 0.000 0.500
Sm: 0.500 0.500 0.000
Ho: 0.000 0.500 0.255
Sc: 0.500 0.500 0.500

Top 10 peaks for 10 to 90 degrees two-theta, by angle:
2θ = 31.10°, I 100, hkl 1 1 2; 2θ = 36.01°, I 34, hkl 2 0 0; 2θ = 36.16°, I 17, hkl 0 0 4; 2θ = 51.85°, I 12, hkl 2 2 0; 2θ = 51.96°, I 24, hkl 2 0 4; 2θ = 61.70°, I 28, hkl 3 1 2; 2θ = 61.91°, I 14, hkl 1 1 6; 2θ = 64.84°, I 12, hkl 2 2 4; 2θ = 84.91°, I 12, hkl 3 1 6; 2θ = 87.50°, I 11, hkl 4 2 0

[10]
Simulated powder XRD pattern
Compound: ZrTc2Rh
Radiation: Cu Kα
Structure: the PBE geometry in Alexandria
Intensities are scaled so that the largest is 100.

Cell lengths 3.145, 3.422, 6.101 Å; angles 90.00, 90.00, 90.00 degrees
Space group Pmm2 (No. 25)
Symmetry-distinct sites (fractional):
Zr: 0.000 0.000 0.000
Tc: 0.000 0.000 0.510
Tc: 0.500 0.500 0.703
Rh: 0.500 0.500 0.232

Top 10 peaks for 10 to 90 degrees two-theta, by angle:
2θ = 38.89°, I 100, hkl 1 1 0; 2θ = 39.58°, I 88, hkl 0 1 2; 2θ = 41.23°, I 79, hkl 1 0 2; 2θ = 53.55°, I 19, hkl 0 2 0; 2θ = 58.72°, I 15, hkl 2 0 0; 2θ = 60.72°, I 10, hkl 0 0 4; 2θ = 69.75°, I 32, hkl 1 2 2; 2θ = 73.15°, I 28, hkl 2 1 2; 2θ = 74.49°, I 21, hkl 1 1 4; 2θ = 83.50°, I 10, hkl 2 2 0